1.
This entry pairs a crystal structure of NdRe4 with its computed PXRD pattern. Radiation: λ = 1.5418 Å (Cu Kα). Structure: the GGA-PBE geometry in Alexandria.
No peak broadening, texture or thermal motion is included.

The 8 most intense peaks (2θ from 10° to 80°), low angle first:
- 18.58 deg, d 4.777, I 16
- 26.39 deg, d 3.378, I 14
- 32.47 deg, d 2.758, I 89
- 37.66 deg, d 2.388, I 100
- 42.31 deg, d 2.136, I 8
- 54.32 deg, d 1.689, I 70
- 64.73 deg, d 1.440, I 38
- 67.99 deg, d 1.379, I 24

Structure:
Cell: 4.777 4.777 4.777 Å, 90.00 90.00 90.00°
Atoms (fractional coordinates):
Nd: 0.000 0.000 0.000
Re: 0.000 0.000 0.500
Re: 0.000 0.500 0.000
Re: 0.500 0.000 0.000
Re: 0.500 0.500 0.500

2.
This entry pairs a crystal structure of PmMnI6 with its computed PXRD pattern. Radiation: λ = 1.5418 Å (Cu Kα). Structure: the GGA-PBE geometry in Alexandria.
No peak broadening, texture or thermal motion is included.

The 8 most intense peaks (2θ from 10° to 80°), low angle first:
- 16.40 deg, d 5.407, I 21
- 26.45 deg, d 3.370, I 13
- 27.53 deg, d 3.240, I 100
- 36.08 deg, d 2.490, I 38
- 42.38 deg, d 2.133, I 31
- 47.36 deg, d 1.919, I 21
- 51.28 deg, d 1.781, I 16
- 71.34 deg, d 1.322, I 12

Structure:
Cell: 7.976 7.976 7.976 Å, 55.19 55.19 55.19°
Atoms (fractional coordinates):
Pm: 0.000 0.000 0.000
Mn: 0.500 0.500 0.500
I: 0.105 0.731 0.425
I: 0.269 0.575 0.895
I: 0.425 0.105 0.731
I: 0.575 0.895 0.269
I: 0.731 0.425 0.105
I: 0.895 0.269 0.575